Diffraction record for MgSi2. The powder diffraction line list is calculated, not measured: it uses a PBE-relaxed structure and Cu Kα, 1.54184 Å.
No peak broadening, texture or thermal motion is included.

Lattice parameters (Å, degrees): 4.464 5.075 5.552 69.83 66.90 66.22
Atoms (fractional coordinates):
1 Mg 0.193 0.406 0.209
2 Mg 0.807 0.594 0.791
3 Si 0.126 0.992 0.760
4 Si 0.438 0.757 0.354
5 Si 0.562 0.243 0.646
6 Si 0.874 0.008 0.240

Most intense lines, 2θ = 15–90°, by intensity:
d = 2.231 Å, 40.43°, I 100; d = 2.363 Å, 38.09°, I 69; d = 2.291 Å, 39.32°, I 61; d = 2.490 Å, 36.07°, I 51; d = 2.170 Å, 41.63°, I 31; d = 2.420 Å, 37.15°, I 26; d = 1.659 Å, 55.37°, I 22; d = 2.258 Å, 39.92°, I 20

Diffraction record for Ge4Ir. The powder diffraction line list is calculated, not measured: it uses a PBE-relaxed structure and Cu Kα, 1.54184 Å.
No peak broadening, texture or thermal motion is included.

Lattice parameters (Å, degrees): 6.299 6.299 7.894 90.00 90.00 120.00
Atoms (fractional coordinates):
1 Ge 0.000 0.079 0.167
2 Ge 0.000 0.618 0.167
3 Ge 0.079 0.000 0.833
4 Ge 0.221 0.487 0.947
5 Ge 0.265 0.779 0.614
6 Ge 0.382 0.382 0.500
7 Ge 0.487 0.221 0.053
8 Ge 0.513 0.735 0.281
9 Ge 0.618 0.000 0.833
10 Ge 0.735 0.513 0.719
11 Ge 0.779 0.265 0.386
12 Ge 0.921 0.921 0.500
13 Ir 0.000 0.318 0.667
14 Ir 0.318 0.000 0.333
15 Ir 0.682 0.682 0.000

Most intense lines, 2θ = 15–90°, by intensity:
d = 1.995 Å, 45.46°, I 100; d = 4.488 Å, 19.78°, I 96; d = 2.578 Å, 34.80°, I 70; d = 2.019 Å, 44.89°, I 67; d = 3.198 Å, 27.90°, I 59; d = 1.828 Å, 49.90°, I 42; d = 1.856 Å, 49.09°, I 40; d = 2.462 Å, 36.50°, I 35

Diffraction record for Cu2Te2Br2O5. The powder diffraction line list is calculated, not measured: it uses a PBE-relaxed structure and Cu Kα, 1.54184 Å.
No peak broadening, texture or thermal motion is included.

Lattice parameters (Å, degrees): 7.982 7.982 6.422 90.00 90.00 90.00
Atoms (fractional coordinates):
1 Cu 0.035 0.776 0.347
2 Cu 0.224 0.035 0.653
3 Cu 0.776 0.965 0.653
4 Cu 0.965 0.224 0.347
5 Te 0.136 0.681 0.866
6 Te 0.319 0.136 0.134
7 Te 0.681 0.864 0.134
8 Te 0.864 0.319 0.866
9 Br 0.265 0.585 0.313
10 Br 0.415 0.265 0.687
11 Br 0.585 0.735 0.687
12 Br 0.735 0.415 0.313
13 O 0.000 0.500 0.741
14 O 0.036 0.258 0.059
15 O 0.070 0.831 0.642
16 O 0.169 0.070 0.358
17 O 0.258 0.964 0.941
18 O 0.500 0.000 0.259
19 O 0.742 0.036 0.941
20 O 0.831 0.930 0.358
21 O 0.930 0.169 0.642
22 O 0.964 0.742 0.059

Most intense lines, 2θ = 15–90°, by intensity:
d = 3.570 Å, 24.95°, I 100; d = 3.120 Å, 28.61°, I 47; d = 2.791 Å, 32.07°, I 43; d = 2.979 Å, 29.99°, I 37; d = 2.387 Å, 37.68°, I 30; d = 2.458 Å, 36.56°, I 26; d = 1.853 Å, 49.16°, I 23; d = 2.584 Å, 34.72°, I 20

Diffraction record for Nb5Ga3. The powder diffraction line list is calculated, not measured: it uses a PBE-relaxed structure and Cu Kα, 1.54184 Å.
No peak broadening, texture or thermal motion is included.

Lattice parameters (Å, degrees): 7.756 7.756 7.756 96.23 96.23 141.55
Atoms (fractional coordinates):
1 Nb 0.076 0.778 0.854
2 Nb 0.222 0.076 0.297
3 Nb 0.250 0.750 0.500
4 Nb 0.278 0.576 0.854
5 Nb 0.424 0.278 0.703
6 Nb 0.576 0.722 0.297
7 Nb 0.722 0.424 0.146
8 Nb 0.750 0.250 0.500
9 Nb 0.778 0.924 0.703
10 Nb 0.924 0.222 0.146
11 Ga 0.166 0.334 0.500
12 Ga 0.250 0.250 0.000
13 Ga 0.334 0.834 0.168
14 Ga 0.666 0.166 0.832
15 Ga 0.750 0.750 0.000
16 Ga 0.834 0.666 0.500

Most intense lines, 2θ = 15–90°, by intensity:
d = 2.254 Å, 40.00°, I 100; d = 2.316 Å, 38.89°, I 56; d = 2.504 Å, 35.87°, I 47; d = 2.291 Å, 39.33°, I 42; d = 2.095 Å, 43.19°, I 40; d = 1.409 Å, 66.32°, I 21; d = 2.554 Å, 35.14°, I 20; d = 1.465 Å, 63.52°, I 19

Diffraction record for Er2Mn12P7. The powder diffraction line list is calculated, not measured: it uses a PBE-relaxed structure and Cu Kα, 1.54184 Å.
No peak broadening, texture or thermal motion is included.

Lattice parameters (Å, degrees): 9.284 9.284 3.583 90.00 90.00 120.00
Atoms (fractional coordinates):
1 Er 0.000 0.000 0.000
2 Er 0.333 0.667 0.500
3 Mn 0.044 0.284 0.500
4 Mn 0.104 0.725 0.000
5 Mn 0.240 0.956 0.500
6 Mn 0.275 0.379 0.000
7 Mn 0.439 0.209 0.000
8 Mn 0.510 0.453 0.500
9 Mn 0.547 0.057 0.500
10 Mn 0.621 0.896 0.000
11 Mn 0.716 0.760 0.500
12 Mn 0.770 0.561 0.000
13 Mn 0.791 0.230 0.000
14 Mn 0.943 0.490 0.500
15 P 0.076 0.460 0.000
16 P 0.255 0.212 0.500
17 P 0.385 0.924 0.000
18 P 0.540 0.615 0.000
19 P 0.667 0.333 0.500
20 P 0.788 0.043 0.500
21 P 0.957 0.745 0.500

Most intense lines, 2θ = 15–90°, by intensity:
d = 2.318 Å, 38.85°, I 100; d = 2.678 Å, 33.46°, I 17; d = 1.754 Å, 52.13°, I 16; d = 1.792 Å, 50.97°, I 14; d = 3.273 Å, 27.25°, I 13; d = 1.893 Å, 48.06°, I 11; d = 1.253 Å, 75.91°, I 10; d = 1.640 Å, 56.08°, I 9

Diffraction record for Cs3Ge. The powder diffraction line list is calculated, not measured: it uses a PBE-relaxed structure and Cu Kα, 1.54184 Å.
No peak broadening, texture or thermal motion is included.

Lattice parameters (Å, degrees): 9.405 9.405 6.171 90.00 90.00 120.00
Atoms (fractional coordinates):
1 Cs 0.189 0.378 0.250
2 Cs 0.189 0.811 0.250
3 Cs 0.378 0.189 0.750
4 Cs 0.622 0.811 0.250
5 Cs 0.811 0.189 0.750
6 Cs 0.811 0.622 0.750
7 Ge 0.333 0.667 0.750
8 Ge 0.667 0.333 0.250

Most intense lines, 2θ = 15–90°, by intensity:
d = 3.399 Å, 26.22°, I 100; d = 3.083 Å, 28.96°, I 30; d = 4.072 Å, 21.82°, I 27; d = 1.870 Å, 48.70°, I 22; d = 2.351 Å, 38.28°, I 18; d = 1.836 Å, 49.65°, I 17; d = 2.459 Å, 36.54°, I 14; d = 1.934 Å, 46.99°, I 14

Diffraction record for CaH16O10. The powder diffraction line list is calculated, not measured: it uses a PBE-relaxed structure and Cu Kα, 1.54184 Å.
No peak broadening, texture or thermal motion is included.

Lattice parameters (Å, degrees): 6.151 6.307 10.954 89.55 88.80 89.77
Atoms (fractional coordinates):
1 Ca 0.000 0.000 0.000
2 Ca 0.032 0.001 0.496
3 H 0.009 0.337 0.644
4 H 0.035 0.558 0.120
5 H 0.144 0.696 0.287
6 H 0.154 0.285 0.794
7 H 0.280 0.384 0.905
8 H 0.281 0.620 0.104
9 H 0.287 0.375 0.601
10 H 0.288 0.614 0.400
11 H 0.319 0.143 0.283
12 H 0.320 0.876 0.705
13 H 0.375 0.726 0.895
14 H 0.384 0.272 0.104
15 H 0.400 0.282 0.397
16 H 0.411 0.716 0.605
17 H 0.443 0.966 0.882
18 H 0.448 0.030 0.121
19 H 0.579 0.975 0.381
20 H 0.586 0.027 0.619
21 H 0.618 0.266 0.898
22 H 0.618 0.276 0.610
23 H 0.619 0.723 0.101
24 H 0.644 0.738 0.406
25 H 0.702 0.127 0.786
26 H 0.705 0.858 0.213
27 H 0.727 0.614 0.892
28 H 0.730 0.385 0.101
29 H 0.733 0.383 0.407
30 H 0.868 0.303 0.215
31 H 0.884 0.703 0.716
32 H 0.915 0.589 0.587
33 H 0.975 0.550 0.879
34 H 0.979 0.450 0.381
35 O 0.132 0.683 0.127
36 O 0.135 0.318 0.883
37 O 0.140 0.679 0.378
38 O 0.149 0.266 0.637
39 O 0.314 0.871 0.875
40 O 0.320 0.129 0.127
41 O 0.342 0.136 0.373
42 O 0.363 0.870 0.617
43 O 0.467 0.476 0.575
44 O 0.502 0.498 0.441
45 O 0.503 0.499 0.931
46 O 0.505 0.500 0.068
47 O 0.680 0.122 0.877
48 O 0.681 0.867 0.123
49 O 0.701 0.139 0.629
50 O 0.705 0.876 0.375
51 O 0.876 0.320 0.124
52 O 0.876 0.675 0.870
53 O 0.882 0.324 0.381
54 O 0.896 0.727 0.626

Most intense lines, 2θ = 15–90°, by intensity:
d = 5.476 Å, 16.19°, I 100; d = 2.739 Å, 32.69°, I 67; d = 3.406 Å, 26.16°, I 61; d = 2.710 Å, 33.06°, I 55; d = 2.668 Å, 33.58°, I 44; d = 2.719 Å, 32.94°, I 39; d = 3.470 Å, 25.67°, I 35; d = 3.443 Å, 25.88°, I 33

Diffraction record for Li2CdGeS4. The powder diffraction line list is calculated, not measured: it uses a PBE-relaxed structure and Cu Kα, 1.54184 Å.
No peak broadening, texture or thermal motion is included.

Lattice parameters (Å, degrees): 7.852 6.906 6.465 90.00 90.00 90.00
Atoms (fractional coordinates):
1 Li 0.245 0.169 0.000
2 Li 0.255 0.831 0.500
3 Li 0.745 0.831 0.500
4 Li 0.755 0.169 0.000
5 Cd 0.000 0.352 0.503
6 Cd 0.500 0.648 0.003
7 Ge 0.000 0.674 0.000
8 Ge 0.500 0.326 0.500
9 S 0.000 0.364 0.103
10 S 0.000 0.695 0.654
11 S 0.229 0.833 0.122
12 S 0.271 0.167 0.622
13 S 0.500 0.305 0.154
14 S 0.500 0.636 0.603
15 S 0.729 0.167 0.622
16 S 0.771 0.833 0.122

Most intense lines, 2θ = 15–90°, by intensity:
d = 4.719 Å, 18.80°, I 100; d = 3.413 Å, 26.11°, I 60; d = 3.232 Å, 27.60°, I 50; d = 3.926 Å, 22.65°, I 45; d = 1.822 Å, 50.06°, I 41; d = 2.406 Å, 37.37°, I 40; d = 1.986 Å, 45.69°, I 40; d = 3.018 Å, 29.60°, I 39

Diffraction record for SmB2C2. The powder diffraction line list is calculated, not measured: it uses a PBE-relaxed structure and Cu Kα, 1.54184 Å.
No peak broadening, texture or thermal motion is included.

Lattice parameters (Å, degrees): 3.815 3.815 7.516 90.00 90.00 90.00
Atoms (fractional coordinates):
1 Sm 0.000 0.000 0.250
2 Sm 0.000 0.000 0.750
3 B 0.216 0.500 0.000
4 B 0.500 0.216 0.500
5 B 0.500 0.784 0.500
6 B 0.784 0.500 0.000
7 C 0.187 0.500 0.500
8 C 0.500 0.187 0.000
9 C 0.500 0.813 0.000
10 C 0.813 0.500 0.500

Most intense lines, 2θ = 15–90°, by intensity:
d = 2.677 Å, 33.47°, I 100; d = 3.815 Å, 23.32°, I 86; d = 2.191 Å, 41.19°, I 55; d = 2.698 Å, 33.21°, I 37; d = 1.706 Å, 53.73°, I 27; d = 1.553 Å, 59.51°, I 26; d = 3.758 Å, 23.68°, I 26; d = 1.701 Å, 53.90°, I 21

Diffraction record for Ti2N. The powder diffraction line list is calculated, not measured: it uses a PBE-relaxed structure and Cu Kα, 1.54184 Å.
No peak broadening, texture or thermal motion is included.

Lattice parameters (Å, degrees): 4.151 4.151 8.880 90.00 90.00 90.00
Atoms (fractional coordinates):
1 Ti 0.000 0.250 0.106
2 Ti 0.000 0.250 0.644
3 Ti 0.000 0.750 0.356
4 Ti 0.000 0.750 0.894
5 Ti 0.500 0.250 0.394
6 Ti 0.500 0.250 0.856
7 Ti 0.500 0.750 0.144
8 Ti 0.500 0.750 0.606
9 N 0.000 0.250 0.875
10 N 0.000 0.750 0.125
11 N 0.500 0.250 0.625
12 N 0.500 0.750 0.375

Most intense lines, 2θ = 15–90°, by intensity:
d = 2.449 Å, 36.70°, I 100; d = 2.076 Å, 43.60°, I 55; d = 1.516 Å, 61.12°, I 29; d = 2.220 Å, 40.64°, I 28; d = 1.259 Å, 75.52°, I 21; d = 3.761 Å, 23.66°, I 18; d = 1.468 Å, 63.37°, I 16; d = 1.224 Å, 78.05°, I 13

Diffraction record for SmClO2. The powder diffraction line list is calculated, not measured: it uses a PBE-relaxed structure and Cu Kα, 1.54184 Å.
No peak broadening, texture or thermal motion is included.

Lattice parameters (Å, degrees): 5.060 4.260 6.552 90.00 108.30 90.00
Atoms (fractional coordinates):
1 Sm 0.176 0.250 0.333
2 Sm 0.824 0.750 0.667
3 Cl 0.216 0.250 0.917
4 Cl 0.784 0.750 0.083
5 O 0.234 0.750 0.541
6 O 0.385 0.750 0.377
7 O 0.615 0.250 0.623
8 O 0.766 0.250 0.459

Most intense lines, 2θ = 15–90°, by intensity:
d = 3.188 Å, 27.99°, I 100; d = 3.091 Å, 28.89°, I 74; d = 3.515 Å, 25.34°, I 69; d = 2.512 Å, 35.74°, I 60; d = 4.557 Å, 19.48°, I 42; d = 3.330 Å, 26.77°, I 41; d = 2.009 Å, 45.13°, I 39; d = 2.130 Å, 42.43°, I 38

Diffraction record for CeSe2. The powder diffraction line list is calculated, not measured: it uses a PBE-relaxed structure and Cu Kα, 1.54184 Å.
No peak broadening, texture or thermal motion is included.

Lattice parameters (Å, degrees): 14.204 14.204 14.204 116.10 116.10 116.10
Atoms (fractional coordinates):
1 Ce 0.297 0.297 0.676
2 Ce 0.297 0.676 0.297
3 Ce 0.324 0.703 0.703
4 Ce 0.676 0.297 0.297
5 Ce 0.703 0.324 0.703
6 Ce 0.703 0.703 0.324
7 Se 0.000 0.000 0.500
8 Se 0.000 0.500 0.000
9 Se 0.000 0.500 0.500
10 Se 0.321 0.500 0.679
11 Se 0.321 0.679 0.500
12 Se 0.500 0.000 0.000
13 Se 0.500 0.000 0.500
14 Se 0.500 0.321 0.679
15 Se 0.500 0.500 0.000
16 Se 0.500 0.679 0.321
17 Se 0.679 0.321 0.500
18 Se 0.679 0.500 0.321

Most intense lines, 2θ = 15–90°, by intensity:
d = 5.792 Å, 15.30°, I 100; d = 2.444 Å, 36.78°, I 42; d = 4.177 Å, 21.27°, I 41; d = 2.057 Å, 44.01°, I 30; d = 2.631 Å, 34.08°, I 29; d = 2.088 Å, 43.32°, I 24; d = 3.433 Å, 25.95°, I 23; d = 2.120 Å, 42.66°, I 21